The following is a theoretical PXRD pattern of Cs3Ag2PdCl6. It was derived from a PBE-relaxed structure, using Cu Ka.

Atomic structure:
Unit cell a=7.827 b=7.827 c=8.715 alpha=90.00 beta=90.00 gamma=120.00
Positions (direct):
Cs: 0.000 0.000 0.000
Cs: 0.333 0.667 0.647
Cs: 0.667 0.333 0.353
Ag: 0.333 0.667 0.240
Ag: 0.667 0.333 0.760
Pd: 0.000 0.000 0.500
Cl: 0.155 0.310 0.311
Cl: 0.155 0.845 0.311
Cl: 0.310 0.155 0.689
Cl: 0.690 0.845 0.311
Cl: 0.845 0.155 0.689
Cl: 0.845 0.690 0.689

Principal peaks in the range 15 to 90 degrees two-theta, by angle:
two_theta  d (Å)  I (rel.)
22.72  3.913  100
24.28  3.665  64
33.51  2.674  76
39.90  2.259  22
40.87  2.208  43
46.41  1.957  28
47.31  1.921  13
53.05  1.726  16
58.45  1.579  17
62.83  1.479  12

The following is a theoretical PXRD pattern of Ba3LiIn2. It was derived from a PBE-relaxed structure, using Cu Ka.

Atomic structure:
Unit cell a=6.045 b=18.096 c=4.349 alpha=90.00 beta=90.00 gamma=90.00
Positions (direct):
Ba: 0.000 0.000 0.000
Ba: 0.000 0.329 0.000
Ba: 0.000 0.671 0.000
Ba: 0.500 0.171 0.000
Ba: 0.500 0.500 0.000
Ba: 0.500 0.829 0.000
Li: 0.000 0.500 0.500
Li: 0.500 0.000 0.500
In: 0.000 0.164 0.500
In: 0.000 0.836 0.500
In: 0.500 0.336 0.500
In: 0.500 0.664 0.500

Principal peaks in the range 15 to 90 degrees two-theta, by angle:
two_theta  d (Å)  I (rel.)
29.31  3.047  100
29.59  3.019  49
41.52  2.175  12
42.34  2.135  18
51.81  1.764  20
52.33  1.748  38
60.80  1.523  12
69.52  1.352  12
83.78  1.155  10
84.45  1.147  10

The following is a theoretical PXRD pattern of Cs2KSe8. It was derived from a PBE-relaxed structure, using Cu Ka.

Atomic structure:
Unit cell a=5.931 b=7.337 c=10.280 alpha=97.01 beta=98.22 gamma=112.73
Positions (direct):
Cs: 0.165 0.233 0.343
Cs: 0.835 0.767 0.657
K: 0.000 0.500 0.000
Se: 0.211 0.416 0.725
Se: 0.214 0.042 0.994
Se: 0.229 0.770 0.374
Se: 0.440 0.212 0.778
Se: 0.560 0.788 0.222
Se: 0.771 0.230 0.626
Se: 0.786 0.958 0.006
Se: 0.789 0.584 0.275

Principal peaks in the range 15 to 90 degrees two-theta, by angle:
two_theta  d (Å)  I (rel.)
17.42  5.091  27
26.05  3.420  90
26.60  3.351  36
26.82  3.324  100
28.50  3.132  56
28.85  3.094  22
31.95  2.801  29
40.79  2.212  28
48.44  1.879  22
51.21  1.784  26

The following is a theoretical PXRD pattern of La3SiBr. It was derived from a PBE-relaxed structure, using Cu Ka.

Atomic structure:
Unit cell a=8.537 b=4.195 c=8.661 alpha=90.00 beta=99.16 gamma=90.00
Positions (direct):
La: 0.107 0.250 0.383
La: 0.178 0.750 0.033
La: 0.389 0.750 0.752
La: 0.611 0.250 0.248
La: 0.822 0.250 0.967
La: 0.893 0.750 0.617
Si: 0.126 0.250 0.763
Si: 0.874 0.750 0.237
Br: 0.376 0.750 0.373
Br: 0.624 0.250 0.627

Principal peaks in the range 15 to 90 degrees two-theta, by angle:
two_theta  d (Å)  I (rel.)
23.67  3.759  74
24.81  3.589  53
25.00  3.562  58
30.06  2.973  78
30.71  2.911  100
31.49  2.841  58
34.77  2.580  63
35.33  2.541  48
38.25  2.353  62
43.13  2.097  52

The following is a theoretical PXRD pattern of NaSnBiTe3. It was derived from a PBE-relaxed structure, using Cu Ka.

Atomic structure:
Unit cell a=9.256 b=4.437 c=10.437 alpha=90.00 beta=98.18 gamma=90.00
Positions (direct):
Na: 0.138 0.250 0.151
Na: 0.862 0.750 0.849
Sn: 0.131 0.250 0.535
Sn: 0.869 0.750 0.465
Bi: 0.368 0.750 0.840
Bi: 0.632 0.250 0.160
Te: 0.114 0.250 0.819
Te: 0.345 0.750 0.538
Te: 0.393 0.750 0.146
Te: 0.607 0.250 0.854
Te: 0.655 0.250 0.462
Te: 0.886 0.750 0.181

Principal peaks in the range 15 to 90 degrees two-theta, by angle:
two_theta  d (Å)  I (rel.)
24.39  3.649  13
25.87  3.444  51
28.00  3.187  100
34.72  2.584  13
36.47  2.464  38
39.34  2.290  18
40.42  2.232  35
40.67  2.218  19
42.86  2.110  13
48.83  1.865  18

The following is a theoretical PXRD pattern of Tm4PbN. It was derived from a PBE-relaxed structure, using Cu Ka.

Atomic structure:
Unit cell a=4.847 b=9.004 c=7.209 alpha=90.00 beta=90.07 gamma=90.00
Positions (direct):
Tm: 0.250 0.054 0.230
Tm: 0.250 0.250 0.711
Tm: 0.250 0.446 0.230
Tm: 0.250 0.750 0.571
Tm: 0.750 0.250 0.429
Tm: 0.750 0.554 0.770
Tm: 0.750 0.750 0.289
Tm: 0.750 0.946 0.770
Pb: 0.250 0.750 0.000
Pb: 0.750 0.250 0.000
N: 0.250 0.250 0.408
N: 0.750 0.750 0.592

Principal peaks in the range 15 to 90 degrees two-theta, by angle:
two_theta  d (Å)  I (rel.)
19.72  4.502  24
29.79  3.000  94
31.80  2.814  30
32.31  2.771  22
32.51  2.754  100
35.17  2.552  30
37.09  2.424  44
40.06  2.251  18
49.65  1.836  17
60.57  1.529  33

The following is a theoretical PXRD pattern of MnTe6Ir2. It was derived from a PBE-relaxed structure, using Cu Ka.

Atomic structure:
Unit cell a=11.962 b=11.962 c=5.479 alpha=90.00 beta=90.00 gamma=120.00
Positions (direct):
Mn: 0.000 0.000 0.000
Mn: 0.333 0.667 0.488
Mn: 0.667 0.333 0.512
Te: 0.096 0.548 0.727
Te: 0.113 0.226 0.750
Te: 0.113 0.887 0.750
Te: 0.217 0.435 0.258
Te: 0.217 0.783 0.258
Te: 0.226 0.113 0.250
Te: 0.435 0.217 0.742
Te: 0.452 0.548 0.727
Te: 0.452 0.904 0.727
Te: 0.548 0.096 0.273
Te: 0.548 0.452 0.273
Te: 0.565 0.783 0.258
Te: 0.774 0.887 0.750
Te: 0.783 0.217 0.742
Te: 0.783 0.565 0.742
Te: 0.887 0.113 0.250
Te: 0.887 0.774 0.250
Te: 0.904 0.452 0.273
Ir: 0.000 0.337 0.000
Ir: 0.000 0.663 0.000
Ir: 0.337 0.000 0.000
Ir: 0.337 0.337 0.000
Ir: 0.663 0.000 0.000
Ir: 0.663 0.663 0.000

Principal peaks in the range 15 to 90 degrees two-theta, by angle:
two_theta  d (Å)  I (rel.)
16.18  5.479  13
22.00  4.040  17
30.60  2.921  100
42.11  2.146  49
45.50  1.994  41
55.83  1.647  17
57.06  1.614  17
63.72  1.461  14
74.78  1.270  14
81.73  1.178  13

The following is a theoretical PXRD pattern of Mg3ZrSc4. It was derived from a PBE-relaxed structure, using Cu Ka.

Atomic structure:
Unit cell a=3.264 b=3.264 c=17.659 alpha=90.00 beta=90.00 gamma=90.00
Positions (direct):
Mg: 0.000 0.000 0.000
Mg: 0.000 0.000 0.248
Mg: 0.000 0.000 0.752
Zr: 0.000 0.000 0.500
Sc: 0.500 0.500 0.124
Sc: 0.500 0.500 0.377
Sc: 0.500 0.500 0.623
Sc: 0.500 0.500 0.876

Principal peaks in the range 15 to 90 degrees two-theta, by angle:
two_theta  d (Å)  I (rel.)
15.05  5.886  8
27.80  3.209  6
34.17  2.624  100
39.03  2.308  34
40.88  2.207  15
56.38  1.632  11
57.80  1.595  20
67.60  1.386  24
70.15  1.342  11
71.96  1.312  10

The following is a theoretical PXRD pattern of Li2AcGeN. It was derived from a PBE-relaxed structure, using Cu Ka.

Atomic structure:
Unit cell a=7.168 b=7.168 c=7.396 alpha=90.00 beta=90.00 gamma=150.44
Positions (direct):
Li: 0.141 0.859 0.559
Li: 0.141 0.859 0.941
Li: 0.859 0.141 0.059
Li: 0.859 0.141 0.441
Ac: 0.461 0.539 0.750
Ac: 0.539 0.461 0.250
Ge: 0.255 0.745 0.250
Ge: 0.745 0.255 0.750
N: 0.000 0.000 0.000
N: 0.000 0.000 0.500

Principal peaks in the range 15 to 90 degrees two-theta, by angle:
two_theta  d (Å)  I (rel.)
17.54  5.057  42
24.07  3.698  85
25.18  3.536  76
25.71  3.466  40
28.44  3.138  57
33.51  2.674  100
35.11  2.556  96
48.71  1.869  34
54.10  1.695  44
56.12  1.639  37

The following is a theoretical PXRD pattern of Li2AsI. It was derived from a PBE-relaxed structure, using Cu Ka.

Atomic structure:
Unit cell a=3.791 b=3.791 c=25.580 alpha=90.00 beta=90.00 gamma=120.00
Positions (direct):
Li: 0.000 0.000 0.097
Li: 0.000 0.000 0.903
Li: 0.333 0.667 0.569
Li: 0.333 0.667 0.764
Li: 0.667 0.333 0.236
Li: 0.667 0.333 0.431
As: 0.000 0.000 0.000
As: 0.333 0.667 0.667
As: 0.667 0.333 0.333
I: 0.000 0.000 0.500
I: 0.333 0.667 0.167
I: 0.667 0.333 0.833

Principal peaks in the range 15 to 90 degrees two-theta, by angle:
two_theta  d (Å)  I (rel.)
20.84  4.263  62
28.06  3.180  100
30.61  2.921  71
39.33  2.291  39
44.92  2.018  29
48.00  1.896  25
52.86  1.732  30
56.52  1.628  14
57.75  1.597  12
65.95  1.416  17

The following is a theoretical PXRD pattern of TeW2N2. It was derived from a PBE-relaxed structure, using Cu Ka.

Atomic structure:
Unit cell a=4.000 b=4.000 c=9.913 alpha=90.00 beta=90.00 gamma=90.00
Positions (direct):
Te: 0.000 0.000 0.000
Te: 0.500 0.500 0.500
W: 0.000 0.500 0.250
W: 0.000 0.500 0.750
W: 0.500 0.000 0.250
W: 0.500 0.000 0.750
N: 0.000 0.000 0.307
N: 0.000 0.000 0.693
N: 0.500 0.500 0.193
N: 0.500 0.500 0.807

Principal peaks in the range 15 to 90 degrees two-theta, by angle:
two_theta  d (Å)  I (rel.)
17.90  4.957  46
23.99  3.709  18
31.63  2.829  15
36.25  2.478  28
36.58  2.457  100
45.34  2.000  33
49.12  1.855  13
59.38  1.556  27
65.42  1.427  21
77.95  1.226  23

The following is a theoretical PXRD pattern of RbTlTcBr6. It was derived from a PBE-relaxed structure, using Cu Ka.

Atomic structure:
Unit cell a=7.965 b=7.965 c=13.125 alpha=90.00 beta=90.00 gamma=120.00
Positions (direct):
Rb: 0.000 0.000 0.000
Rb: 0.000 0.000 0.500
Tl: 0.333 0.667 0.250
Tl: 0.667 0.333 0.750
Tc: 0.333 0.667 0.750
Tc: 0.667 0.333 0.250
Br: 0.072 0.410 0.637
Br: 0.072 0.663 0.863
Br: 0.337 0.410 0.863
Br: 0.337 0.928 0.637
Br: 0.410 0.072 0.137
Br: 0.410 0.337 0.363
Br: 0.590 0.663 0.637
Br: 0.590 0.928 0.863
Br: 0.663 0.072 0.363
Br: 0.663 0.590 0.137
Br: 0.928 0.337 0.137
Br: 0.928 0.590 0.363

Principal peaks in the range 15 to 90 degrees two-theta, by angle:
two_theta  d (Å)  I (rel.)
18.66  4.755  91
26.17  3.405  100
26.72  3.336  21
29.25  3.053  24
35.09  2.557  38
35.45  2.532  96
37.10  2.423  40
39.18  2.299  41
47.42  1.917  23
53.85  1.702  26

The following is a theoretical PXRD pattern of CdIn16Sn12. It was derived from a PBE-relaxed structure, using Cu Ka.

Atomic structure:
Unit cell a=10.297 b=10.297 c=9.705 alpha=108.08 beta=108.08 gamma=110.13
Positions (direct):
Cd: 0.000 0.000 0.000
In: 0.012 0.688 0.336
In: 0.081 0.414 0.744
In: 0.112 0.418 0.148
In: 0.113 0.825 0.737
In: 0.138 0.721 0.041
In: 0.409 0.830 0.434
In: 0.414 0.081 0.744
In: 0.418 0.112 0.148
In: 0.421 0.421 0.751
In: 0.423 0.423 0.391
In: 0.688 0.012 0.336
In: 0.721 0.138 0.041
In: 0.730 0.730 0.454
In: 0.772 0.772 0.095
In: 0.825 0.113 0.737
In: 0.830 0.409 0.434
Sn: 0.017 0.211 0.335
Sn: 0.029 0.029 0.547
Sn: 0.211 0.017 0.335
Sn: 0.227 0.227 0.926
Sn: 0.230 0.580 0.549
Sn: 0.422 0.615 0.125
Sn: 0.425 0.814 0.940
Sn: 0.580 0.230 0.549
Sn: 0.615 0.422 0.125
Sn: 0.619 0.803 0.741
Sn: 0.803 0.619 0.741
Sn: 0.814 0.425 0.940

Principal peaks in the range 15 to 90 degrees two-theta, by angle:
two_theta  d (Å)  I (rel.)
30.46  2.935  75
31.40  2.849  45
31.54  2.837  38
31.80  2.814  88
32.11  2.787  76
32.25  2.776  70
32.43  2.761  60
33.15  2.702  100
33.26  2.694  52
35.36  2.538  42